Diffraction record for Rb2Te. The powder diffraction line list is simulated, not measured: it uses DFT lattice parameters and positions (GGA-PBE) and Cu Kα X-rays.
Lines closer than 0.1° are merged.

Cell and atoms:
abc: 6.1422 6.1422 8.1485
angles: 90.00 90.00 120.00
Space group P6_3/mmc (No. 194)
Symmetry-distinct sites (fractional):
Rb 0.0000 0.0000 0.0000 x2
Rb 0.3333 0.6667 0.2500 x2
Te 0.3333 0.6667 0.7500 x2

Largest 6 diffraction maxima, low angle first, 2θ = 10–90°:
| Position (°2θ) | intensity | h k l |
| --- | --- | --- |
| 27.58 | 95.8 | 1 0 2 |
| 29.08 | 100.0 | 1 1 0 |
| 40.50 | 33.5 | 2 0 2 |
| 50.63 | 34.6 | 2 1 2 |
| 51.54 | 19.7 | 3 0 0 |
| 54.02 | 34.2 | 1 1 4 |